Theoretical XRD peak list of Ce2MgNb2O8 for Cu Ka, from a PBE-relaxed structure.
Lines closer than 0.1° are merged.

Top 10 peaks for 2θ from 10° to 80°, by angle:
hkl  2θ (°)  I (rel.)
1 -1 1  26.8  57
-1 1 1  26.9  56
1 1 -2  28.1  100
0 0 2  30.8  29
0 2 -1  31.4  33
2 0 -1  33.2  23
0 2 -3  44.6  38
2 -2 0  44.8  24
2 2 -2  47.9  21
1 -3 2  52.5  26

Cell and atoms:
a = 5.4097 Å, b = 5.7023 Å, c = 6.9229 Å
α = 112.82°, β = 111.08°, γ = 93.66°
Element x y z (fractional)
Ce 0.0000 0.0000 0.0000
Ce 0.2420 0.7406 0.4852
Mg 0.2860 0.2843 0.5734
Nb 0.5171 0.5205 0.0345
Nb 0.7887 0.2886 0.5787
O 0.0532 0.0780 0.6751
O 0.2055 0.6118 0.8235
O 0.3226 0.4203 0.1824
O 0.4115 0.0277 0.3528
O 0.6149 0.2124 0.8245
O 0.6196 0.5957 0.6767
O 0.8626 0.7613 0.1829
O 0.9444 0.3223 0.3532